TlCu3Te4Pd: computed powder diffractogram (Cu Kα), based on a GGA-PBE-relaxed structure.
No peak broadening, texture or thermal motion is included.

Largest 12 diffraction maxima, in order of rising 2θ, 5 to 70 degrees two-theta:
d = 4.468 Å, I 36, (1 1 0); d = 3.648 Å, I 84, (1 1 1); d = 2.826 Å, I 1, (2 1 0); d = 2.580 Å, I 19, (2 1 1); d = 2.234 Å, I 100, (2 2 0); d = 1.998 Å, I 8, (3 1 0); d = 1.905 Å, I 39, (3 1 1); d = 1.689 Å, I 12, (3 2 1); d = 1.580 Å, I 16, (4 0 0); d = 1.489 Å, I 7, (4 1 1); d = 1.450 Å, I 15, (3 3 1); d = 1.347 Å, I 2, (3 3 2)

```
data_TlCu3Te4Pd
_chemical_formula_sum 'Tl1 Cu3 Te4 Pd1'
_space_group_name_H-M_alt 'P -4 3 m'
_space_group_IT_number 215
_space_group_name_Hall 'P -4 2 3'
_cell_length_a 6.319
_cell_length_b 6.319
_cell_length_c 6.319
_cell_angle_alpha 90.00
_cell_angle_beta 90.00
_cell_angle_gamma 90.00
loop_
_atom_site_label
_atom_site_fract_x
_atom_site_fract_y
_atom_site_fract_z
_atom_site_occupancy
Tl1 0.000 0.000 0.000 1
Cu1 0.000 0.500 0.500 1
Te1 0.262 0.262 0.262 1
Pd1 0.500 0.500 0.500 1
```

Th2Cu3Pd: computed powder diffractogram (Cu Kα), based on a GGA-PBE-relaxed structure.
No peak broadening, texture or thermal motion is included.

Largest 12 diffraction maxima, in order of rising 2θ, 5 to 70 degrees two-theta:
d = 3.841 Å, I 15, (0 0 4); d = 3.794 Å, I 28, (0 2 2); d = 2.618 Å, I 50, (2 0 4); d = 2.603 Å, I 100, (2 2 2); d = 2.209 Å, I 49, (0 2 6); d = 2.181 Å, I 24, (0 4 0); d = 1.789 Å, I 13, (4 0 0); d = 1.692 Å, I 14, (2 0 8); d = 1.676 Å, I 26, (2 4 4); d = 1.618 Å, I 6, (4 2 2); d = 1.390 Å, I 22, (4 2 6); d = 1.383 Å, I 11, (4 4 0)

```
data_Th2Cu3Pd
_chemical_formula_sum 'Th16 Cu24 Pd8'
_space_group_name_H-M_alt 'F m m m'
_space_group_IT_number 69
_space_group_name_Hall '-F 2 2'
_cell_length_a 7.154
_cell_length_b 8.725
_cell_length_c 15.366
_cell_angle_alpha 90.00
_cell_angle_beta 90.00
_cell_angle_gamma 90.00
loop_
_atom_site_label
_atom_site_fract_x
_atom_site_fract_y
_atom_site_fract_z
_atom_site_occupancy
Th1 0.248 0.000 0.000 1
Th2 0.250 0.250 0.250 1
Cu1 0.000 0.000 0.338 1
Cu2 0.000 0.244 0.419 1
Pd1 0.000 0.000 0.168 1
```

YTlCuPd: computed powder diffractogram (Cu Kα), based on a GGA-PBE-relaxed structure.
No peak broadening, texture or thermal motion is included.

Largest 9 diffraction maxima, in order of rising 2θ, 5 to 70 degrees two-theta:
d = 3.922 Å, I 14, (1 1 1); d = 3.397 Å, I 7, (2 0 0); d = 2.402 Å, I 100, (2 2 0); d = 2.048 Å, I 8, (3 1 1); d = 1.961 Å, I 2, (2 2 2); d = 1.698 Å, I 17, (4 0 0); d = 1.559 Å, I 3, (3 3 1); d = 1.519 Å, I 3, (4 2 0); d = 1.387 Å, I 35, (4 2 2)

```
data_YTlCuPd
_chemical_formula_sum 'Y4 Tl4 Cu4 Pd4'
_space_group_name_H-M_alt 'F -4 3 m'
_space_group_IT_number 216
_space_group_name_Hall 'F -4 2 3'
_cell_length_a 6.794
_cell_length_b 6.794
_cell_length_c 6.794
_cell_angle_alpha 90.00
_cell_angle_beta 90.00
_cell_angle_gamma 90.00
loop_
_atom_site_label
_atom_site_fract_x
_atom_site_fract_y
_atom_site_fract_z
_atom_site_occupancy
Y1 0.000 0.000 0.000 1
Tl1 0.000 0.000 0.500 1
Cu1 0.250 0.250 0.750 1
Pd1 0.250 0.250 0.250 1
```

Zr2CuPd3: computed powder diffractogram (Cu Kα), based on a GGA-PBE-relaxed structure.
No peak broadening, texture or thermal motion is included.

Largest 12 diffraction maxima, in order of rising 2θ, 5 to 70 degrees two-theta:
d = 8.560 Å, I 1, (0 0 1); d = 3.460 Å, I 1, (1 0 0); d = 3.208 Å, I 1, (1 0 1); d = 2.853 Å, I 1, (0 0 3); d = 2.691 Å, I 2, (1 0 2); d = 2.446 Å, I 70, (1 1 0); d = 2.201 Å, I 100, (1 0 3); d = 1.857 Å, I 1, (1 1 3); d = 1.730 Å, I 24, (2 0 0); d = 1.427 Å, I 6, (0 0 6); d = 1.403 Å, I 1, (1 1 5); d = 1.360 Å, I 41, (2 1 3)

```
data_Zr2CuPd3
_chemical_formula_sum 'Zr2 Cu1 Pd3'
_space_group_name_H-M_alt 'P 4 m m'
_space_group_IT_number 99
_cell_length_a 3.460
_cell_length_b 3.460
_cell_length_c 8.560
_cell_angle_alpha 90.00
_cell_angle_beta 90.00
_cell_angle_gamma 90.00
loop_
_space_group_symop_operation_xyz
'x,y,z'
'-y,x,z'
'-x,-y,z'
'y,-x,z'
'-x,y,z'
'y,x,z'
'x,-y,z'
'-y,-x,z'
loop_
_atom_site_label
_atom_site_fract_x
_atom_site_fract_y
_atom_site_fract_z
_atom_site_occupancy
Zr1 0.000 0.000 0.000 1
Zr2 0.500 0.500 0.500 1
Cu1 0.000 0.000 0.330 1
Pd1 0.000 0.000 0.653 1
Pd2 0.500 0.500 0.176 1
Pd3 0.500 0.500 0.839 1
```

PmCu2: computed powder diffractogram (Cu Kα), based on a GGA-PBE-relaxed structure.
No peak broadening, texture or thermal motion is included.

Largest 9 diffraction maxima, in order of rising 2θ, 5 to 70 degrees two-theta:
d = 3.695 Å, I 16, (1 0 0); d = 2.621 Å, I 100, (1 0 1); d = 2.133 Å, I 48, (1 1 0); d = 1.860 Å, I 10, (0 0 2); d = 1.847 Å, I 2, (2 0 0); d = 1.661 Å, I 3, (1 0 2); d = 1.654 Å, I 24, (2 0 1); d = 1.402 Å, I 24, (1 1 2); d = 1.396 Å, I 2, (2 1 0)

```
data_PmCu2
_chemical_formula_sum 'Pm1 Cu2'
_space_group_name_H-M_alt 'P 6/m m m'
_space_group_IT_number 191
_space_group_name_Hall '-P 6 2'
_cell_length_a 4.2661
_cell_length_b 4.2661
_cell_length_c 3.7190
_cell_angle_alpha 90.00
_cell_angle_beta 90.00
_cell_angle_gamma 120.00
loop_
_atom_site_label
_atom_site_fract_x
_atom_site_fract_y
_atom_site_fract_z
_atom_site_occupancy
Pm1 0.0000 0.0000 0.0000 1
Cu1 0.3333 0.6667 0.5000 1
```

Pm3CuPt8: computed powder diffractogram (Cu Kα), based on a GGA-PBE-relaxed structure.
No peak broadening, texture or thermal motion is included.

Largest 12 diffraction maxima, in order of rising 2θ, 5 to 70 degrees two-theta:
d = 4.445 Å, I 25, (0 0 6); d = 2.963 Å, I 3, (1 0 7); d = 2.722 Å, I 15, (1 1 0); d = 2.322 Å, I 100, (2 0 2); d = 2.223 Å, I 57, (0 2 4); d = 2.005 Å, I 2, (0 2 7); d = 1.925 Å, I 14, (2 0 8); d = 1.766 Å, I 8, (0 1 14); d = 1.572 Å, I 5, (3 0 0); d = 1.488 Å, I 2, (1 1 15); d = 1.482 Å, I 31, (3 0 6); d = 1.361 Å, I 29, (2 2 0)

```
data_Pm3CuPt8
_chemical_formula_sum 'Pm9 Cu3 Pt24'
_space_group_name_H-M_alt 'R 3 m'
_space_group_IT_number 160
_space_group_name_Hall 'R 3 -2"'
_cell_length_a 5.4462
_cell_length_b 5.4462
_cell_length_c 26.6561
_cell_angle_alpha 90.00
_cell_angle_beta 90.00
_cell_angle_gamma 120.00
loop_
_atom_site_label
_atom_site_fract_x
_atom_site_fract_y
_atom_site_fract_z
_atom_site_occupancy
Pm1 0.0000 0.0000 0.0000 1
Pm2 0.0000 0.0000 0.1302 1
Pm3 0.0000 0.0000 0.6096 1
Cu1 0.0000 0.0000 0.4825 1
Pt1 0.0000 0.0000 0.3105 1
Pt2 0.0000 0.0000 0.8111 1
Pt3 0.0005 0.5003 0.0607 1
Pt4 0.0027 0.5014 0.5605 1
```